# 1
The following is a simulated powder XRD pattern of TbSm4Dy8. It was derived from a DFT-relaxed cell (GGA-PBE, Alexandria), using a wavelength of 1.5418 Å.

Atomic structure:
```
data_TbSm4Dy8
_space_group_name_H-M_alt 'P m -3 m'
_space_group_IT_number 221
_space_group_name_Hall '-P 4 2 3'
_cell_length_a 7.7801
_cell_length_b 7.7801
_cell_length_c 7.7801
_cell_angle_alpha 90.00
_cell_angle_beta 90.00
_cell_angle_gamma 90.00
loop_
_atom_site_label
_atom_site_fract_x
_atom_site_fract_y
_atom_site_fract_z
Tb1 0.0000 0.0000 0.0000
Sm1 0.0000 0.0000 0.5000
Sm2 0.5000 0.5000 0.5000
Dy1 0.2602 0.2602 0.2602
```

Largest 10 diffraction maxima, in order of rising 2θ, 15 to 90 degrees two-theta:
| Position (°2θ) | intensity | index |
| --- | --- | --- |
| 19.8 | 11 | 1 1 1 |
| 22.9 | 8 | 2 0 0 |
| 25.6 | 5 | 2 1 0 |
| 32.6 | 100 | 2 2 0 |
| 38.4 | 6 | 3 1 1 |
| 46.7 | 18 | 4 0 0 |
| 58.1 | 37 | 4 2 2 |
| 68.2 | 11 | 4 4 0 |
| 77.6 | 15 | 6 2 0 |
| 86.7 | 4 | 4 4 4 |

=====

# 2
The following is a simulated powder XRD pattern of KLiMg. It was derived from a DFT-relaxed cell (GGA-PBE, Alexandria), using a wavelength of 1.5418 Å.

Atomic structure:
```
data_KLiMg
_space_group_name_H-M_alt 'P 1'
_space_group_IT_number 1
_cell_length_a 3.8023
_cell_length_b 4.6677
_cell_length_c 12.7075
_cell_angle_alpha 90.10
_cell_angle_beta 98.41
_cell_angle_gamma 90.01
loop_
_space_group_symop_operation_xyz
'x,y,z'
loop_
_atom_site_label
_atom_site_fract_x
_atom_site_fract_y
_atom_site_fract_z
K1 0.0000 0.0000 0.0000
K2 0.3456 0.4997 0.6971
Li1 0.1186 0.5002 0.2431
Li2 0.2210 0.0011 0.4541
Mg1 0.6314 0.0003 0.2674
Mg2 0.7101 0.5016 0.4296
```

Largest 10 diffraction maxima, in order of rising 2θ, 15 to 90 degrees two-theta:
| Position (°2θ) | intensity | index |
| --- | --- | --- |
| 20.3 | 100 | 0 1 1 |
| 21.2 | 36 | 0 0 3 |
| 25.7 | 95 | 1 0 1 |
| 28.4 | 27 | 0 0 4 |
| 28.6 | 24 | 0 1 -3 |
| 30.5 | 30 | 1 -1 0 |
| 32.2 | 25 | -1 1 2 |
| 35.3 | 65 | 1 1 2 |
| 38.6 | 24 | 0 2 0 |
| 47.0 | 32 | 1 -2 1 |

=====

# 3
The following is a simulated powder XRD pattern of SrAgH6Pd. It was derived from a DFT-relaxed cell (GGA-PBE, Alexandria), using a wavelength of 1.5418 Å.

Atomic structure:
```
data_SrAgH6Pd
_space_group_name_H-M_alt 'P -6 m 2'
_space_group_IT_number 187
_space_group_name_Hall 'P -6 2'
_cell_length_a 4.9060
_cell_length_b 4.9060
_cell_length_c 4.5717
_cell_angle_alpha 90.00
_cell_angle_beta 90.00
_cell_angle_gamma 120.00
loop_
_atom_site_label
_atom_site_fract_x
_atom_site_fract_y
_atom_site_fract_z
Sr1 0.0000 0.0000 0.0000
Ag1 0.3333 0.6667 0.5000
H1 0.5129 0.0257 0.2454
Pd1 0.6667 0.3333 0.5000
```

Largest 10 diffraction maxima, in order of rising 2θ, 15 to 90 degrees two-theta:
| Position (°2θ) | intensity | index |
| --- | --- | --- |
| 19.4 | 20 | 0 0 1 |
| 28.7 | 100 | 1 0 1 |
| 36.6 | 62 | 1 1 0 |
| 39.4 | 16 | 0 0 2 |
| 41.8 | 16 | 1 1 1 |
| 47.2 | 25 | 2 0 1 |
| 54.9 | 38 | 1 1 2 |
| 61.2 | 22 | 2 1 1 |
| 66.0 | 11 | 3 0 0 |
| 79.6 | 13 | 3 0 2 |

=====

# 4
The following is a simulated powder XRD pattern of Tb2CeAl6. It was derived from a DFT-relaxed cell (GGA-PBE, Alexandria), using a wavelength of 1.5418 Å.

Atomic structure:
```
data_Tb2CeAl6
_space_group_name_H-M_alt 'P 6/m m m'
_space_group_IT_number 191
_space_group_name_Hall '-P 6 2'
_cell_length_a 7.9522
_cell_length_b 7.9522
_cell_length_c 3.5275
_cell_angle_alpha 90.00
_cell_angle_beta 90.00
_cell_angle_gamma 120.00
loop_
_atom_site_label
_atom_site_fract_x
_atom_site_fract_y
_atom_site_fract_z
Tb1 0.3333 0.6667 0.0000
Ce1 0.0000 0.0000 0.0000
Al1 0.0000 0.3341 0.5000
```

Largest 10 diffraction maxima, in order of rising 2θ, 15 to 90 degrees two-theta:
| Position (°2θ) | intensity | index |
| --- | --- | --- |
| 22.4 | 69 | 1 1 0 |
| 25.2 | 10 | 0 0 1 |
| 34.0 | 100 | 1 1 1 |
| 39.2 | 45 | 3 0 0 |
| 45.6 | 11 | 2 2 0 |
| 47.2 | 12 | 3 0 1 |
| 52.9 | 28 | 2 2 1 |
| 57.1 | 11 | 1 1 2 |
| 66.9 | 18 | 3 0 2 |
| 67.8 | 27 | 4 1 1 |

=====

# 5
The following is a simulated powder XRD pattern of ErHfGaPd. It was derived from a DFT-relaxed cell (GGA-PBE, Alexandria), using a wavelength of 1.5418 Å.

Atomic structure:
```
data_ErHfGaPd
_space_group_name_H-M_alt 'F -4 3 m'
_space_group_IT_number 216
_space_group_name_Hall 'F -4 2 3'
_cell_length_a 6.8485
_cell_length_b 6.8485
_cell_length_c 6.8485
_cell_angle_alpha 90.00
_cell_angle_beta 90.00
_cell_angle_gamma 90.00
loop_
_atom_site_label
_atom_site_fract_x
_atom_site_fract_y
_atom_site_fract_z
Er1 0.0000 0.0000 0.0000
Hf1 0.0000 0.0000 0.5000
Ga1 0.2500 0.2500 0.7500
Pd1 0.2500 0.2500 0.2500
```

Largest 10 diffraction maxima, in order of rising 2θ, 15 to 90 degrees two-theta:
| Position (°2θ) | intensity | index |
| --- | --- | --- |
| 22.5 | 1 | 1 1 1 |
| 26.0 | 11 | 2 0 0 |
| 37.1 | 100 | 2 2 0 |
| 43.8 | 1 | 3 1 1 |
| 45.9 | 3 | 2 2 2 |
| 53.5 | 17 | 4 0 0 |
| 60.5 | 5 | 4 2 0 |
| 66.9 | 35 | 4 2 2 |
| 79.1 | 11 | 4 4 0 |
| 85.0 | 2 | 6 0 0 |

=====

# 6
The following is a simulated powder XRD pattern of Cs6HgCl8. It was derived from a DFT-relaxed cell (GGA-PBE, Alexandria), using a wavelength of 1.5418 Å.

Atomic structure:
```
data_Cs6HgCl8
_space_group_name_H-M_alt 'R -3'
_space_group_IT_number 148
_space_group_name_Hall '-R 3'
_cell_length_a 10.1207
_cell_length_b 10.1207
_cell_length_c 20.0909
_cell_angle_alpha 90.00
_cell_angle_beta 90.00
_cell_angle_gamma 120.00
loop_
_atom_site_label
_atom_site_fract_x
_atom_site_fract_y
_atom_site_fract_z
Cs1 0.0217 0.4029 0.4182
Hg1 0.0000 0.0000 0.5000
Cl1 0.0000 0.0000 0.1549
Cl2 0.0113 0.2303 0.5784
```

Largest 10 diffraction maxima, in order of rising 2θ, 15 to 90 degrees two-theta:
| Position (°2θ) | intensity | index |
| --- | --- | --- |
| 20.7 | 33 | 0 2 1 |
| 22.0 | 100 | 1 1 3 |
| 22.1 | 22 | 2 0 2 |
| 27.3 | 29 | 3 -1 1 |
| 28.4 | 30 | 3 -2 2 |
| 30.6 | 45 | 3 0 0 |
| 32.1 | 61 | 1 1 6 |
| 35.1 | 30 | 3 -2 5 |
| 38.0 | 35 | 4 -2 3 |
| 52.4 | 26 | 0 5 1 |

=====

# 7
The following is a simulated powder XRD pattern of Li3SI. It was derived from a DFT-relaxed cell (GGA-PBE, Alexandria), using a wavelength of 1.5418 Å.

Atomic structure:
```
data_Li3SI
_space_group_name_H-M_alt 'C m c 21'
_space_group_IT_number 36
_cell_length_a 4.0151
_cell_length_b 17.0986
_cell_length_c 6.2776
_cell_angle_alpha 90.00
_cell_angle_beta 90.00
_cell_angle_gamma 90.00
loop_
_space_group_symop_operation_xyz
'x,y,z'
'-x,-y,z+1/2'
'-x,y,z'
'x,-y,z+1/2'
'x+1/2,y+1/2,z'
'-x+1/2,-y+1/2,z+1/2'
'-x+1/2,y+1/2,z'
'x+1/2,-y+1/2,z+1/2'
loop_
_atom_site_label
_atom_site_fract_x
_atom_site_fract_y
_atom_site_fract_z
Li1 0.0000 0.0625 0.0000
Li2 0.0000 0.2992 0.3962
Li3 0.0000 0.3119 0.8564
S1 0.0000 0.1970 0.1211
I1 0.0000 0.4375 0.1549
```

Largest 10 diffraction maxima, in order of rising 2θ, 15 to 90 degrees two-theta:
| Position (°2θ) | intensity | index |
| --- | --- | --- |
| 17.5 | 40 | 0 2 1 |
| 22.7 | 56 | 1 1 0 |
| 25.2 | 100 | 0 4 1 |
| 26.9 | 44 | 1 1 1 |
| 28.4 | 32 | 0 0 2 |
| 30.7 | 50 | 1 3 1 |
| 36.7 | 33 | 1 1 2 |
| 37.4 | 38 | 1 5 1 |
| 45.2 | 25 | 2 0 0 |
| 52.4 | 25 | 2 4 1 |

=====

# 8
The following is a simulated powder XRD pattern of Sm4NpS7. It was derived from a DFT-relaxed cell (GGA-PBE, Alexandria), using a wavelength of 1.5418 Å.

Atomic structure:
```
data_Sm4NpS7
_space_group_name_H-M_alt 'C 1 m 1'
_space_group_IT_number 8
_cell_length_a 13.1432
_cell_length_b 3.9030
_cell_length_c 11.7892
_cell_angle_alpha 90.00
_cell_angle_beta 104.93
_cell_angle_gamma 90.00
loop_
_space_group_symop_operation_xyz
'x,y,z'
'x,-y,z'
'x+1/2,y+1/2,z'
'x+1/2,-y+1/2,z'
loop_
_atom_site_label
_atom_site_fract_x
_atom_site_fract_y
_atom_site_fract_z
Sm1 0.0000 0.0000 0.0000
Sm2 0.0838 0.5000 0.3852
Sm3 0.1875 0.0000 0.7673
Sm4 0.3851 0.5000 0.5756
Np1 0.2703 0.5000 0.1527
S1 0.0450 0.5000 0.6263
S2 0.1242 0.5000 0.9265
S3 0.1496 0.0000 0.2257
S4 0.2258 0.0000 0.5253
S5 0.3439 0.5000 0.7919
S6 0.3825 0.0000 0.0766
S7 0.4263 0.5000 0.3582
```

Largest 10 diffraction maxima, in order of rising 2θ, 15 to 90 degrees two-theta:
| Position (°2θ) | intensity | index |
| --- | --- | --- |
| 23.5 | 100 | 2 0 2 |
| 23.9 | 36 | 1 1 0 |
| 24.0 | 89 | 2 0 -3 |
| 25.7 | 46 | 1 1 1 |
| 27.1 | 46 | 4 0 -1 |
| 30.8 | 47 | 3 1 -1 |
| 32.4 | 72 | 3 1 -2 |
| 33.5 | 40 | 3 1 1 |
| 41.3 | 33 | 1 1 4 |
| 46.4 | 39 | 6 0 -4 |

=====

# 9
The following is a simulated powder XRD pattern of CaAcPd6. It was derived from a DFT-relaxed cell (GGA-PBE, Alexandria), using a wavelength of 1.5418 Å.

Atomic structure:
```
data_CaAcPd6
_space_group_name_H-M_alt 'P -6 m 2'
_space_group_IT_number 187
_space_group_name_Hall 'P -6 2'
_cell_length_a 6.0815
_cell_length_b 6.0815
_cell_length_c 4.7705
_cell_angle_alpha 90.00
_cell_angle_beta 90.00
_cell_angle_gamma 120.00
loop_
_atom_site_label
_atom_site_fract_x
_atom_site_fract_y
_atom_site_fract_z
Ca1 0.0000 0.0000 0.0000
Ac1 0.6667 0.3333 0.5000
Pd1 0.0228 0.5114 0.0000
Pd2 0.1738 0.3476 0.5000
```

Largest 10 diffraction maxima, in order of rising 2θ, 15 to 90 degrees two-theta:
| Position (°2θ) | intensity | index |
| --- | --- | --- |
| 16.8 | 14 | 1 0 0 |
| 25.2 | 7 | 1 0 1 |
| 34.0 | 27 | 2 0 0 |
| 37.7 | 25 | 0 0 2 |
| 39.1 | 100 | 2 0 1 |
| 51.7 | 16 | 2 0 2 |
| 60.9 | 18 | 2 2 0 |
| 69.0 | 18 | 2 0 3 |
| 73.9 | 19 | 2 2 2 |
| 74.8 | 14 | 4 0 1 |

=====

# 10
The following is a simulated powder XRD pattern of BaCdPbO4. It was derived from a DFT-relaxed cell (GGA-PBE, Alexandria), using a wavelength of 1.5418 Å.

Atomic structure:
```
data_BaCdPbO4
_space_group_name_H-M_alt 'I m m a'
_space_group_IT_number 74
_space_group_name_Hall '-I 2b 2'
_cell_length_a 6.9345
_cell_length_b 7.1632
_cell_length_c 10.1639
_cell_angle_alpha 90.00
_cell_angle_beta 90.00
_cell_angle_gamma 90.00
loop_
_atom_site_label
_atom_site_fract_x
_atom_site_fract_y
_atom_site_fract_z
Ba1 0.0000 0.2500 0.1176
Cd1 0.0000 0.0000 0.5000
Pb1 0.2500 0.2500 0.7500
O1 0.0000 0.0435 0.7415
O2 0.2197 0.2500 0.5358
```

Largest 10 diffraction maxima, in order of rising 2θ, 15 to 90 degrees two-theta:
| Position (°2θ) | intensity | index |
| --- | --- | --- |
| 15.1 | 51 | 0 1 1 |
| 25.0 | 34 | 1 1 2 |
| 29.2 | 56 | 0 1 3 |
| 29.4 | 77 | 1 2 1 |
| 30.0 | 100 | 2 1 1 |
| 30.5 | 34 | 0 2 2 |
| 31.2 | 38 | 2 0 2 |
| 46.5 | 30 | 0 1 5 |
| 47.1 | 36 | 2 3 1 |
| 51.4 | 63 | 2 2 4 |

=====

# 11
The following is a simulated powder XRD pattern of Pr4Y2Sb3N2. It was derived from a DFT-relaxed cell (GGA-PBE, Alexandria), using a wavelength of 1.5418 Å.

Atomic structure:
```
data_Pr4Y2Sb3N2
_space_group_name_H-M_alt 'I 4/m m m'
_space_group_IT_number 139
_space_group_name_Hall '-I 4 2'
_cell_length_a 4.8328
_cell_length_b 4.8328
_cell_length_c 25.7445
_cell_angle_alpha 90.00
_cell_angle_beta 90.00
_cell_angle_gamma 90.00
loop_
_atom_site_label
_atom_site_fract_x
_atom_site_fract_y
_atom_site_fract_z
Pr1 0.0000 0.5000 0.0843
Y1 0.0000 0.0000 0.1938
Sb1 0.0000 0.0000 0.3181
Sb2 0.0000 0.0000 0.5000
N1 0.0000 0.0000 0.1092
```

Largest 10 diffraction maxima, in order of rising 2θ, 15 to 90 degrees two-theta:
| Position (°2θ) | intensity | index |
| --- | --- | --- |
| 27.0 | 38 | 1 1 2 |
| 27.7 | 12 | 0 0 8 |
| 29.6 | 22 | 1 1 4 |
| 33.5 | 100 | 1 1 6 |
| 34.8 | 13 | 0 0 10 |
| 37.2 | 52 | 2 0 0 |
| 47.0 | 11 | 2 0 8 |
| 51.9 | 16 | 2 0 10 |
| 53.6 | 18 | 2 2 0 |
| 64.8 | 29 | 3 1 6 |

=====

# 12
The following is a simulated powder XRD pattern of Sm2Cu2O5. It was derived from a DFT-relaxed cell (GGA-PBE, Alexandria), using a wavelength of 1.5418 Å.

Atomic structure:
```
data_Sm2Cu2O5
_space_group_name_H-M_alt 'P b a m'
_space_group_IT_number 55
_cell_length_a 5.7756
_cell_length_b 9.9051
_cell_length_c 3.7433
_cell_angle_alpha 90.00
_cell_angle_beta 90.00
_cell_angle_gamma 90.00
loop_
_space_group_symop_operation_xyz
'x,y,z'
'-x,-y,-z'
'-x,-y,z'
'x,y,-z'
'x+1/2,-y+1/2,-z'
'-x+1/2,y+1/2,z'
'-x+1/2,y+1/2,-z'
'x+1/2,-y+1/2,z'
loop_
_atom_site_label
_atom_site_fract_x
_atom_site_fract_y
_atom_site_fract_z
Sm1 0.1367 0.1525 0.0000
Cu1 0.1824 0.4100 0.5000
O1 0.0000 0.0000 0.5000
O2 0.0987 0.7035 0.5000
O3 0.2278 0.4004 0.0000
```

Largest 10 diffraction maxima, in order of rising 2θ, 15 to 90 degrees two-theta:
| Position (°2θ) | intensity | index |
| --- | --- | --- |
| 29.9 | 53 | 1 1 1 |
| 32.3 | 52 | 2 1 0 |
| 33.8 | 100 | 1 2 1 |
| 36.3 | 25 | 0 4 0 |
| 39.6 | 73 | 1 4 0 |
| 40.5 | 36 | 2 1 1 |
| 48.6 | 29 | 0 0 2 |
| 54.4 | 22 | 3 1 1 |
| 59.6 | 18 | 2 1 2 |
| 62.0 | 22 | 2 5 1 |

=====

# 13
The following is a simulated powder XRD pattern of PaTl4Sb3O12. It was derived from a DFT-relaxed cell (GGA-PBE, Alexandria), using a wavelength of 1.5418 Å.

Atomic structure:
```
data_PaTl4Sb3O12
_space_group_name_H-M_alt 'I m -3 m'
_space_group_IT_number 229
_space_group_name_Hall '-I 4 2 3'
_cell_length_a 8.3347
_cell_length_b 8.3347
_cell_length_c 8.3347
_cell_angle_alpha 90.00
_cell_angle_beta 90.00
_cell_angle_gamma 90.00
loop_
_atom_site_label
_atom_site_fract_x
_atom_site_fract_y
_atom_site_fract_z
Pa1 0.0000 0.0000 0.0000
Tl1 0.2500 0.2500 0.2500
Sb1 0.0000 0.0000 0.5000
O1 0.0000 0.0000 0.2610
O2 0.0000 0.2500 0.5000
```

Largest 10 diffraction maxima, in order of rising 2θ, 15 to 90 degrees two-theta:
| Position (°2θ) | intensity | index |
| --- | --- | --- |
| 15.0 | 3 | 1 1 0 |
| 26.2 | 2 | 2 1 1 |
| 30.3 | 100 | 2 2 0 |
| 37.4 | 4 | 2 2 2 |
| 43.4 | 27 | 4 0 0 |
| 53.9 | 41 | 4 2 2 |
| 63.1 | 17 | 4 4 0 |
| 71.6 | 18 | 6 2 0 |
| 79.7 | 6 | 4 4 4 |
| 87.6 | 22 | 6 4 2 |